Entry 1:
The following is a simulated X-ray powder pattern of K3Sn2S3BrO3. It was derived from a DFT-relaxed cell (GGA-PBE, the Materials Project), using CuKα.
Intensities are scaled so that the largest is 100.

Most intense lines, 15 to 90 degrees two-theta, in order of rising 2θ:
2θ (°), I_rel
16.10, 52.7
18.02, 21.4
30.19, 23.3
30.49, 100.0
30.80, 60.0
31.09, 37.2
31.27, 35.6
32.11, 22.2
32.30, 25.3
44.36, 20.8

Structural model:
```
data_K3Sn2S3BrO3
_space_group_name_H-M_alt 'P 1 21 1'
_space_group_IT_number 4
_cell_length_a 9.542
_cell_length_b 7.317
_cell_length_c 9.788
_cell_angle_alpha 90.00
_cell_angle_beta 118.76
_cell_angle_gamma 90.00
loop_
_space_group_symop_operation_xyz
'x,y,z'
'-x,y+1/2,-z'
loop_
_atom_site_label
_atom_site_type_symbol
_atom_site_fract_x
_atom_site_fract_y
_atom_site_fract_z
_atom_site_occupancy
K1 K 0.014 0.000 0.241 1
K2 K 0.256 0.001 0.776 1
K3 K 0.342 0.778 0.168 1
Sn1 Sn 0.268 0.495 0.492 1
Sn2 Sn 0.353 0.275 0.172 1
S1 S 0.090 0.426 0.141 1
S2 S 0.376 0.449 0.954 1
S3 S 0.463 0.960 0.563 1
Br1 Br 0.000 0.262 0.494 1
O1 O 0.134 0.612 0.257 1
O2 O 0.282 0.640 0.900 1
O3 O 0.393 0.147 0.593 1
```


Entry 2:
The following is a simulated X-ray powder pattern of MgAgPdO2. It was derived from a DFT-relaxed cell (GGA-PBE, the Materials Project), using CuKα.
Intensities are scaled so that the largest is 100.

Most intense lines, 15 to 90 degrees two-theta, in order of rising 2θ:
2θ (°), I_rel
26.92, 100.0
29.48, 53.7
30.93, 83.9
35.50, 63.1
45.89, 25.3
46.79, 92.5
50.75, 22.6
55.49, 18.1
56.37, 28.7
72.80, 27.5

Structural model:
```
data_MgAgPdO2
_space_group_name_H-M_alt 'P m m m'
_space_group_IT_number 47
_cell_length_a 3.289
_cell_length_b 3.955
_cell_length_c 6.059
_cell_angle_alpha 90.00
_cell_angle_beta 90.00
_cell_angle_gamma 90.00
loop_
_space_group_symop_operation_xyz
'x,y,z'
'-x,-y,-z'
'-x,-y,z'
'x,y,-z'
'x,-y,-z'
'-x,y,z'
'-x,y,-z'
'x,-y,z'
loop_
_atom_site_label
_atom_site_type_symbol
_atom_site_fract_x
_atom_site_fract_y
_atom_site_fract_z
_atom_site_occupancy
Mg1 Mg 0.000 0.000 0.000 1
Ag1 Ag 0.000 0.000 0.500 1
Pd1 Pd 0.500 0.500 0.000 1
O1 O 0.500 0.000 0.208 1
```


Entry 3:
The following is a simulated X-ray powder pattern of CsMgBiO3. It was derived from a DFT-relaxed cell (GGA-PBE, the Materials Project), using CuKα.
Intensities are scaled so that the largest is 100.

Most intense lines, 15 to 90 degrees two-theta, in order of rising 2θ:
2θ (°), I_rel
25.26, 100.0
27.95, 54.3
31.71, 28.3
39.94, 29.8
42.77, 35.1
47.85, 37.3
51.87, 27.4
52.71, 14.1
68.13, 13.6
74.48, 14.4

Structural model:
```
data_CsMgBiO3
_space_group_name_H-M_alt 'P 4/m m m'
_space_group_IT_number 123
_space_group_name_Hall '-P 4 2'
_cell_length_a 4.515
_cell_length_b 4.515
_cell_length_c 5.644
_cell_angle_alpha 90.00
_cell_angle_beta 90.00
_cell_angle_gamma 90.00
loop_
_atom_site_label
_atom_site_type_symbol
_atom_site_fract_x
_atom_site_fract_y
_atom_site_fract_z
_atom_site_occupancy
Cs1 Cs 0.000 0.000 0.000 1
Mg1 Mg 0.000 0.000 0.500 1
Bi1 Bi 0.500 0.500 0.500 1
O1 O 0.000 0.500 0.500 1
O2 O 0.500 0.500 0.000 1
```